Theoretical X-ray diffraction stick pattern
Compound: UPa5Se6
Radiation: Cu Kα, 1.54184 Å
Structure: a GGA-PBE-relaxed structure
No peak broadening, texture or thermal motion is included.

Peak list (12 most intense, 10° ≤ 2θ ≤ 80°, low angle first)
Position (°2θ)  I/Imax
26.8  32
26.9  11
31.1  100
44.5  50
44.6  25
52.7  17
52.8  6
55.2  20
55.4  7
64.8  13
73.5  18
73.7  17

Cell and atoms:
Lattice parameters (Å, degrees): 7.0613 12.2189 7.0349 90.00 109.51 90.00
Space group C2/m (No. 12)
Inequivalent atoms, fractional coordinates:
U1 0.0000 0.0000 0.0000 [2 per cell]
Pa1 0.0000 0.1665 0.5000 [4 per cell]
Pa2 0.0000 0.3332 0.0000 [4 per cell]
Pa3 0.0000 0.5000 0.5000 [2 per cell]
Se1 0.2495 0.0000 0.7508 [4 per cell]
Se2 0.2493 0.1662 0.2492 [8 per cell]